[1]
Starting from a PBE+U-relaxed structure, the powder diffraction line list of Li6Cr5CuO12 was simulated for copper Kα.

Structural model:
```
24
Lattice="2.5450 -4.4135 0.0000 2.5450 4.4135 0.0000 -1.4954 0.0000 9.8870" Properties=species:S:1:pos:R:3 pbc="T T T"
Li 0.2063 0.0000 2.4846
Li 0.8560 1.4612 7.3382
Li 2.7385 1.4612 2.5489
Li 0.8560 -1.4612 7.3382
Li 2.7385 -1.4612 2.5489
Li 3.3883 0.0000 7.4024
Cr 1.7973 2.9431 4.9435
Cr 2.5450 1.4715 0.0000
Cr 1.7973 0.0000 4.9435
Cr 2.5450 -1.4715 0.0000
Cr 1.7973 -2.9431 4.9435
Cu 0.0000 0.0000 0.0000
O 1.7006 2.9256 1.1059
O 0.9537 1.4721 3.8494
O 0.0976 0.0000 6.0359
O 1.8939 2.9256 8.7811
O 1.7510 0.0000 1.1257
O 0.9537 -1.4721 3.8494
O 2.6408 1.4721 6.0377
O 1.8436 0.0000 8.7614
O 1.7006 -2.9256 1.1059
O 3.4969 0.0000 3.8511
O 2.6408 -1.4721 6.0377
O 1.8939 -2.9256 8.7811
```

Main lines, by angle (2θ = 5–70°):
| d/Å | I_rel |
| --- | --- |
| 4.944 | 100 |
| 2.506 | 20 |
| 2.417 | 17 |
| 2.118 | 11 |
| 2.090 | 20 |
| 1.942 | 23 |
| 1.621 | 13 |
| 1.470 | 13 |

=====

[2]
Starting from a PBE+U-relaxed structure, the powder diffraction line list of AlV2O4 was simulated for copper Kα.

Structural model:
```
28
Lattice="5.9015 0.0000 0.0000 -2.9110 5.1370 0.0000 -2.8811 -1.7503 9.7923" Properties=species:S:1:pos:R:3 pbc="T T T"
Al 0.0000 0.0000 0.0000
Al -2.8806 1.6841 4.8987
Al -2.8856 1.6874 8.6174
Al 0.0353 -0.0207 3.7333
V -1.4336 -0.8758 6.7682
V -1.4286 2.5466 1.8626
V 1.5182 -0.8792 6.7690
V 0.0601 1.6892 6.7665
V 1.5292 2.5481 1.8490
V 2.9828 -0.0133 1.8633
V 0.0474 -0.0174 9.2982
V 0.0824 3.3925 4.3371
O 1.4703 0.8245 0.6175
O 0.0258 3.4253 0.6137
O 0.0271 -0.0182 5.5468
O -1.4087 2.5402 5.5175
O -1.4193 0.8303 8.0104
O -2.8878 3.4207 8.0305
O 0.0612 1.6878 3.1467
O -1.3787 4.2440 3.1612
O 1.5131 0.8315 8.0345
O 1.5441 2.5497 5.4998
O 3.0088 -0.0210 5.5224
O 4.4575 0.8408 0.6339
O 0.1059 3.3920 7.9814
O 3.0138 1.6827 3.1167
O 2.9980 3.4506 0.6156
O 1.5527 4.2503 3.1456
```

Main lines, by angle (2θ = 5–70°):
| d/Å | I_rel |
| --- | --- |
| 4.855 | 52 |
| 2.543 | 94 |
| 2.537 | 47 |
| 2.518 | 69 |
| 2.102 | 100 |
| 2.099 | 50 |
| 1.497 | 55 |
| 1.476 | 52 |

=====

[3]
Starting from a PBE+U-relaxed structure, the powder diffraction line list of KGdSnWO6 was simulated for copper Kα.

Structural model:
```
10
Lattice="0.0000 4.2213 4.2213 4.2213 0.0000 4.2213 4.2213 4.2213 0.0000" Properties=species:S:1:pos:R:3 pbc="T T T"
K 0.0000 0.0000 0.0000
Gd 2.1107 2.1107 2.1107
Sn 4.2213 4.2213 4.2213
W 6.3320 6.3320 6.3320
O 6.3320 6.3320 4.3800
O 6.3320 4.3800 6.3320
O 8.2840 6.3320 6.3320
O 4.3800 6.3320 6.3320
O 6.3320 8.2840 6.3320
O 6.3320 6.3320 8.2840
```

Main lines, by angle (2θ = 5–70°):
| d/Å | I_rel |
| --- | --- |
| 4.874 | 8 |
| 4.221 | 24 |
| 2.985 | 100 |
| 2.111 | 30 |
| 1.888 | 10 |
| 1.723 | 41 |
| 1.492 | 19 |
| 1.407 | 5 |

=====

[4]
Starting from a PBE+U-relaxed structure, the powder diffraction line list of NbV3O10 was simulated for copper Kα.

Structural model:
```
14
Lattice="6.7164 0.0000 0.0000 0.0000 6.7164 0.0000 0.0000 0.0000 4.5115" Properties=species:S:1:pos:R:3 pbc="T T T"
Nb 0.0000 0.0000 0.0000
V 0.0000 3.3582 0.6047
V 3.3582 0.0000 3.9068
V 3.3582 3.3582 0.0000
O 0.0000 1.5312 1.0761
O 0.0000 3.3582 3.4948
O 0.0000 5.1852 1.0761
O 1.5312 0.0000 3.4354
O 1.8961 3.3582 0.9583
O 3.3582 0.0000 1.0167
O 3.3582 1.8961 3.5531
O 3.3582 4.8203 3.5531
O 4.8203 3.3582 0.9583
O 5.1852 0.0000 3.4354
```

Main lines, by angle (2θ = 5–70°):
| d/Å | I_rel |
| --- | --- |
| 4.511 | 75 |
| 3.745 | 36 |
| 3.358 | 100 |
| 2.694 | 64 |
| 2.101 | 25 |
| 2.038 | 16 |
| 1.679 | 21 |
| 1.546 | 18 |

=====

Please write out number 2 again, unchanged.
Starting from a PBE+U-relaxed structure, the powder diffraction line list of AlV2O4 was simulated for copper Kα.

Structural model:
```
28
Lattice="5.9015 0.0000 0.0000 -2.9110 5.1370 0.0000 -2.8811 -1.7503 9.7923" Properties=species:S:1:pos:R:3 pbc="T T T"
Al 0.0000 0.0000 0.0000
Al -2.8806 1.6841 4.8987
Al -2.8856 1.6874 8.6174
Al 0.0353 -0.0207 3.7333
V -1.4336 -0.8758 6.7682
V -1.4286 2.5466 1.8626
V 1.5182 -0.8792 6.7690
V 0.0601 1.6892 6.7665
V 1.5292 2.5481 1.8490
V 2.9828 -0.0133 1.8633
V 0.0474 -0.0174 9.2982
V 0.0824 3.3925 4.3371
O 1.4703 0.8245 0.6175
O 0.0258 3.4253 0.6137
O 0.0271 -0.0182 5.5468
O -1.4087 2.5402 5.5175
O -1.4193 0.8303 8.0104
O -2.8878 3.4207 8.0305
O 0.0612 1.6878 3.1467
O -1.3787 4.2440 3.1612
O 1.5131 0.8315 8.0345
O 1.5441 2.5497 5.4998
O 3.0088 -0.0210 5.5224
O 4.4575 0.8408 0.6339
O 0.1059 3.3920 7.9814
O 3.0138 1.6827 3.1167
O 2.9980 3.4506 0.6156
O 1.5527 4.2503 3.1456
```

Main lines, by angle (2θ = 5–70°):
| d/Å | I_rel |
| --- | --- |
| 4.855 | 52 |
| 2.543 | 94 |
| 2.537 | 47 |
| 2.518 | 69 |
| 2.102 | 100 |
| 2.099 | 50 |
| 1.497 | 55 |
| 1.476 | 52 |